Starting from the PBE geometry in Alexandria, the powder XRD pattern of SnPb3Au was simulated for Cu Ka.

Structural model:
Cell lengths 7.2815, 7.2815, 6.8294 Å; angles 114.29, 114.29, 82.51 degrees
Atoms (fractional coordinates):
Sn: 0.0513 0.0513 0.2717
Sn: 0.9487 0.9487 0.7283
Pb: 0.0115 0.5925 0.2903
Pb: 0.4075 0.9885 0.7097
Pb: 0.4443 0.4443 0.6868
Pb: 0.5557 0.5557 0.3132
Pb: 0.5925 0.0115 0.2903
Pb: 0.9885 0.4075 0.7097
Au: 0.2403 0.2403 0.1009
Au: 0.7597 0.7597 0.8991

Top 6 peaks for 10 to 90 degrees two-theta, low angle first:
- 2θ 26.90, I = 37
- 2θ 30.87, I = 44
- 2θ 32.26, I = 100
- 2θ 33.23, I = 54
- 2θ 36.32, I = 77
- 2θ 37.43, I = 58

***

Starting from the PBE geometry in Alexandria, the powder XRD pattern of Pm5Pr12Ho was simulated for Cu Ka.

Structural model:
Cell lengths 10.7034, 5.8384, 10.7537 Å; angles 90.00, 109.47, 90.00 degrees
Atoms (fractional coordinates):
Pm: 0.0000 0.0000 0.0000
Pm: 0.1624 0.5000 0.8892
Pm: 0.3369 0.0000 0.6091
Pm: 0.6631 0.0000 0.3909
Pm: 0.8376 0.5000 0.1108
Pr: 0.0015 0.0000 0.6673
Pr: 0.1684 0.5000 0.5553
Pr: 0.1707 0.5000 0.2244
Pr: 0.3322 0.0000 0.9441
Pr: 0.3332 0.0000 0.2793
Pr: 0.4983 0.5000 0.8321
Pr: 0.5017 0.5000 0.1679
Pr: 0.6668 0.0000 0.7207
Pr: 0.6678 0.0000 0.0559
Pr: 0.8293 0.5000 0.7756
Pr: 0.8316 0.5000 0.4447
Pr: 0.9985 0.0000 0.3327
Ho: 0.5000 0.5000 0.5000

Top 6 peaks for 10 to 90 degrees two-theta, low angle first:
- 2θ 30.59, I = 100
- 2θ 30.67, I = 54
- 2θ 43.84, I = 23
- 2θ 54.42, I = 14
- 2θ 54.48, I = 25
- 2θ 60.62, I = 15

***

Starting from the PBE geometry in Alexandria, the powder XRD pattern of ThScZnRu was simulated for Cu Ka.

Structural model:
Cell lengths 4.9041, 4.9041, 4.9041 Å; angles 60.00, 60.00, 60.00 degrees
Atoms (fractional coordinates):
Th: 0.0000 0.0000 0.0000
Sc: 0.5000 0.5000 0.5000
Zn: 0.2500 0.2500 0.2500
Ru: 0.7500 0.7500 0.7500

Top 6 peaks for 10 to 90 degrees two-theta, low angle first:
- 2θ 22.20, I = 38
- 2θ 36.65, I = 100
- 2θ 43.27, I = 22
- 2θ 52.80, I = 17
- 2θ 65.99, I = 35
- 2θ 89.34, I = 16

***

Starting from the PBE geometry in Alexandria, the powder XRD pattern of Tb8Ho5Zr was simulated for Cu Ka.

Structural model:
Cell lengths 8.3603, 8.3603, 9.2939 Å; angles 123.15, 123.15, 70.63 degrees
Atoms (fractional coordinates):
Tb: 0.0041 0.0041 0.3201
Tb: 0.1296 0.5192 0.0198
Tb: 0.2877 0.2842 0.2878
Tb: 0.4043 0.1536 0.7798
Tb: 0.4808 0.8704 0.9802
Tb: 0.7158 0.7123 0.7122
Tb: 0.8464 0.5957 0.2202
Tb: 0.9959 0.9959 0.6799
Ho: 0.1257 0.5145 0.6213
Ho: 0.4855 0.8743 0.3787
Ho: 0.6439 0.3559 0.2845
Ho: 0.6441 0.3561 0.7155
Ho: 0.8768 0.1232 0.0000
Zr: 0.2675 0.7325 0.5000

Top 6 peaks for 10 to 90 degrees two-theta, low angle first:
- 2θ 28.00, I = 91
- 2θ 29.08, I = 59
- 2θ 30.30, I = 100
- 2θ 31.88, I = 84
- 2θ 32.20, I = 82
- 2θ 34.32, I = 74

***

Starting from the PBE geometry in Alexandria, the powder XRD pattern of AcIn2GeRh2 was simulated for Cu Ka.

Structural model:
Cell lengths 4.7418, 4.7418, 6.1767 Å; angles 90.00, 90.00, 90.00 degrees
Atoms (fractional coordinates):
Ac: 0.0000 0.0000 0.0000
In: 0.5000 0.5000 0.2466
In: 0.5000 0.5000 0.7534
Ge: 0.0000 0.0000 0.5000
Rh: 0.0000 0.5000 0.5000
Rh: 0.5000 0.0000 0.5000

Top 6 peaks for 10 to 90 degrees two-theta, low angle first:
- 2θ 26.59, I = 35
- 2θ 30.33, I = 66
- 2θ 34.66, I = 100
- 2θ 37.95, I = 76
- 2θ 52.33, I = 62
- 2θ 54.75, I = 26

***

Starting from the PBE geometry in Alexandria, the powder XRD pattern of Li2HoCo9 was simulated for Cu Ka.

Structural model:
Cell lengths 8.0063, 8.0063, 4.7764 Å; angles 90.00, 90.00, 90.00 degrees
Atoms (fractional coordinates):
Li: 0.1151 0.3849 0.0000
Li: 0.3849 0.8849 0.0000
Li: 0.6151 0.1151 0.0000
Li: 0.8849 0.6151 0.0000
Ho: 0.0000 0.0000 0.0000
Ho: 0.5000 0.5000 0.0000
Co: 0.0000 0.5000 0.5000
Co: 0.0677 0.2107 0.5000
Co: 0.1797 0.6797 0.2368
Co: 0.1797 0.6797 0.7632
Co: 0.2107 0.9323 0.5000
Co: 0.2893 0.4323 0.5000
Co: 0.3203 0.1797 0.2368
Co: 0.3203 0.1797 0.7632
Co: 0.4323 0.7107 0.5000
Co: 0.5000 0.0000 0.5000
Co: 0.5677 0.2893 0.5000
Co: 0.6797 0.8203 0.2368
Co: 0.6797 0.8203 0.7632
Co: 0.7107 0.5677 0.5000
Co: 0.7893 0.0677 0.5000
Co: 0.8203 0.3203 0.2368
Co: 0.8203 0.3203 0.7632
Co: 0.9323 0.7893 0.5000

Top 6 peaks for 10 to 90 degrees two-theta, low angle first:
- 2θ 24.38, I = 51
- 2θ 36.91, I = 44
- 2θ 40.32, I = 100
- 2θ 44.16, I = 52
- 2θ 45.66, I = 44
- 2θ 46.78, I = 50

***

Starting from the PBE geometry in Alexandria, the powder XRD pattern of Cs2Hg2F7 was simulated for Cu Ka.

Structural model:
Cell lengths 4.8593, 7.1756, 7.5115 Å; angles 108.51, 100.51, 90.17 degrees
Atoms (fractional coordinates):
Cs: 0.1887 0.4150 0.2228
Cs: 0.8113 0.5850 0.7772
Hg: 0.3103 0.0175 0.6994
Hg: 0.6897 0.9825 0.3006
F: 0.2117 0.0068 0.3788
F: 0.2750 0.7080 0.6104
F: 0.3228 0.3246 0.8169
F: 0.5000 0.0000 0.0000
F: 0.6772 0.6754 0.1831
F: 0.7250 0.2920 0.3896
F: 0.7883 0.9932 0.6212

Top 6 peaks for 10 to 90 degrees two-theta, low angle first:
- 2θ 22.66, I = 53
- 2θ 23.49, I = 33
- 2θ 25.20, I = 100
- 2θ 25.49, I = 56
- 2θ 25.84, I = 47
- 2θ 26.25, I = 44

***

Starting from the PBE geometry in Alexandria, the powder XRD pattern of La5Nd2Tm3 was simulated for Cu Ka.

Structural model:
Cell lengths 9.2791, 9.2791, 10.1806 Å; angles 108.72, 108.72, 107.20 degrees
Atoms (fractional coordinates):
La: 0.0242 0.9758 0.7500
La: 0.1276 0.3675 0.7483
La: 0.2314 0.7686 0.7500
La: 0.2724 0.7276 0.2500
La: 0.3675 0.1276 0.2483
La: 0.6325 0.8724 0.7517
La: 0.7276 0.2724 0.7500
La: 0.7686 0.2314 0.2500
La: 0.8724 0.6325 0.2517
La: 0.9758 0.0242 0.2500
Nd: 0.2250 0.4659 0.4397
Nd: 0.4659 0.2250 0.9397
Nd: 0.5341 0.7750 0.0603
Nd: 0.7750 0.5341 0.5603
Tm: 0.0345 0.2813 0.0570
Tm: 0.2813 0.0345 0.5570
Tm: 0.4796 0.5204 0.2500
Tm: 0.5204 0.4796 0.7500
Tm: 0.7187 0.9655 0.4430
Tm: 0.9655 0.7187 0.9430

Top 6 peaks for 10 to 90 degrees two-theta, low angle first:
- 2θ 28.99, I = 93
- 2θ 30.76, I = 100
- 2θ 32.52, I = 48
- 2θ 35.42, I = 26
- 2θ 59.63, I = 24
- 2θ 61.94, I = 26

***

Starting from the PBE geometry in Alexandria, the powder XRD pattern of Ca5Cu2Rh2O12 was simulated for Cu Ka.

Structural model:
Cell lengths 6.4154, 6.5303, 6.5823 Å; angles 92.48, 90.35, 91.25 degrees
Atoms (fractional coordinates):
Ca: 0.0000 0.0000 0.0000
Ca: 0.1126 0.8670 0.5095
Ca: 0.4880 0.2021 0.8289
Ca: 0.6076 0.7024 0.6567
Ca: 0.8651 0.4717 0.1462
Cu: 0.4855 0.7616 0.2117
Cu: 0.9974 0.4048 0.5805
Rh: 0.2338 0.5969 0.8944
Rh: 0.7302 0.0879 0.3997
O: 0.0257 0.1986 0.3767
O: 0.1544 0.3177 0.9645
O: 0.1916 0.7267 0.1805
O: 0.2819 0.4876 0.6112
O: 0.3031 0.8882 0.8132
O: 0.4500 0.9487 0.4275
O: 0.5352 0.5718 0.9914
O: 0.6916 0.1613 0.1128
O: 0.7118 0.3794 0.5171
O: 0.7746 0.7908 0.2894
O: 0.7982 0.0120 0.6868
O: 0.9468 0.6238 0.7719

Top 6 peaks for 10 to 90 degrees two-theta, low angle first:
- 2θ 18.74, I = 36
- 2θ 19.22, I = 100
- 2θ 32.99, I = 26
- 2θ 33.12, I = 26
- 2θ 33.91, I = 38
- 2θ 39.80, I = 29

***

Starting from the PBE geometry in Alexandria, the powder XRD pattern of Mg3ZnH24C8O24 was simulated for Cu Ka.

Structural model:
Cell lengths 7.1740, 8.7098, 9.5108 Å; angles 98.11, 90.33, 90.13 degrees
Atoms (fractional coordinates):
Mg: 0.0000 0.0000 0.0000
Mg: 0.0000 0.5000 0.5000
Mg: 0.5000 0.0000 0.5000
Zn: 0.5000 0.5000 0.0000
H: 0.0292 0.3286 0.8820
H: 0.1002 0.3017 0.2654
H: 0.1060 0.2065 0.5046
H: 0.1111 0.7670 0.4600
H: 0.1524 0.4683 0.2262
H: 0.2045 0.9288 0.7214
H: 0.2966 0.9297 0.2210
H: 0.3429 0.4705 0.7249
H: 0.3890 0.7657 0.9600
H: 0.3931 0.2086 0.0023
H: 0.3955 0.3033 0.7652
H: 0.4712 0.3295 0.3809
H: 0.5288 0.6705 0.6191
H: 0.6045 0.6967 0.2348
H: 0.6069 0.7914 0.9977
H: 0.6110 0.2343 0.0400
H: 0.6570 0.5295 0.2751
H: 0.7034 0.0703 0.7790
H: 0.7955 0.0712 0.2786
H: 0.8476 0.5317 0.7738
H: 0.8889 0.2330 0.5400
H: 0.8940 0.7935 0.4954
H: 0.8998 0.6983 0.7346
H: 0.9708 0.6714 0.1180
C: 0.1117 0.6749 0.0715
C: 0.2251 0.0347 0.2723
C: 0.2752 0.0349 0.7726
C: 0.3887 0.6740 0.5707
C: 0.6113 0.3260 0.4293
C: 0.7248 0.9651 0.2274
C: 0.7749 0.9653 0.7277
C: 0.8883 0.3251 0.9285
O: 0.0162 0.2772 0.5601
O: 0.1062 0.0979 0.1996
O: 0.1128 0.4125 0.3053
O: 0.1527 0.7899 0.0078
O: 0.2202 0.5636 0.0876
O: 0.2312 0.0854 0.9003
O: 0.2684 0.0843 0.4005
O: 0.2776 0.5632 0.5835
O: 0.3495 0.7900 0.5072
O: 0.3731 0.4127 0.8057
O: 0.3941 0.0984 0.7008
O: 0.4836 0.2767 0.0619
O: 0.5164 0.7233 0.9381
O: 0.6059 0.9016 0.2992
O: 0.6269 0.5873 0.1943
O: 0.6505 0.2100 0.4928
O: 0.7224 0.4368 0.4165
O: 0.7316 0.9157 0.5995
O: 0.7688 0.9146 0.0997
O: 0.7798 0.4364 0.9124
O: 0.8473 0.2101 0.9922
O: 0.8872 0.5875 0.6947
O: 0.8938 0.9021 0.8004
O: 0.9838 0.7228 0.4399

Top 6 peaks for 10 to 90 degrees two-theta, low angle first:
- 2θ 17.89, I = 100
- 2θ 18.85, I = 48
- 2θ 19.32, I = 32
- 2θ 26.04, I = 38
- 2θ 33.69, I = 32
- 2θ 34.19, I = 33

***

Starting from the PBE geometry in Alexandria, the powder XRD pattern of Nd4Dy2Mg was simulated for Cu Ka.

Structural model:
Cell lengths 5.9969, 3.6868, 11.0503 Å; angles 90.00, 99.83, 90.00 degrees
Atoms (fractional coordinates):
Nd: 0.0461 0.0000 0.2053
Nd: 0.4369 0.5000 0.7502
Nd: 0.5631 0.5000 0.2498
Nd: 0.9539 0.0000 0.7947
Dy: 0.0000 0.5000 0.5000
Dy: 0.5000 0.0000 0.5000
Mg: 0.5000 0.0000 0.0000

Top 6 peaks for 10 to 90 degrees two-theta, low angle first:
- 2θ 24.53, I = 39
- 2θ 28.98, I = 62
- 2θ 30.25, I = 55
- 2θ 31.68, I = 100
- 2θ 32.90, I = 41
- 2θ 34.33, I = 99